Computed X-ray diffraction stick pattern
Compound: Ga2H6Pb
Radiation: Cu Kα X-rays
Structure: a PBE-relaxed structure
Intensities are scaled so that the largest is 100.

Structure:
```
data_Ga2H6Pb
_chemical_formula_sum 'Ga8 H24 Pb4'
_space_group_name_H-M_alt 'F m -3 m'
_space_group_IT_number 225
_space_group_name_Hall '-F 4 2 3'
_cell_length_a 7.7794
_cell_length_b 7.7794
_cell_length_c 7.7794
_cell_angle_alpha 90.00
_cell_angle_beta 90.00
_cell_angle_gamma 90.00
loop_
_atom_site_label
_atom_site_fract_x
_atom_site_fract_y
_atom_site_fract_z
Ga1 0.2500 0.2500 0.2500
H1 0.0000 0.0000 0.2461
Pb1 0.0000 0.0000 0.5000
```

Largest 10 diffraction maxima, in order of falling intensity, 15 to 90 degrees two-theta:
32.6°, I 100.0, (2 2 0); 19.8°, I 76.3, (1 1 1); 38.4°, I 44.6, (3 1 1); 58.1°, I 38.8, (4 2 2); 51.2°, I 19.9, (3 3 1); 46.7°, I 19.4, (4 0 0); 77.6°, I 16.8, (6 2 0); 62.0°, I 15.0, (3 3 3); 71.8°, I 14.9, (5 3 1); 68.2°, I 12.3, (4 4 0)